[1]
Simulated XRD peak list
Compound: Ba2NiAu
Radiation: Cu Ka
Structure: a GGA-PBE-relaxed structure
Intensities are scaled so that the largest is 100.

abc: 4.6278 4.6058 12.1740
angles: 90.00 90.00 90.00
Sites, in units of the cell vectors:
Ba: 0.0000 0.0000 0.0000
Ba: 0.0000 0.5000 0.5000
Ba: 0.5000 0.0000 0.2785
Ba: 0.5000 0.5000 0.7785
Ni: 0.0000 0.0000 0.6928
Ni: 0.0000 0.5000 0.1928
Au: 0.5000 0.0000 0.5779
Au: 0.5000 0.5000 0.0779

Most intense lines, 15 to 90 degrees two-theta, by angle:
| hkl | d [Å] | Rel. int. |
| --- | --- | --- |
| 1 1 1 | 3.153 | 93 |
| 0 1 3 | 3.045 | 69 |
| 1 1 3 | 2.543 | 100 |
| 2 0 0 | 2.314 | 27 |
| 0 2 0 | 2.303 | 26 |
| 1 0 6 | 1.858 | 19 |
| 2 1 3 | 1.842 | 32 |
| 1 2 6 | 1.446 | 28 |

[2]
Simulated XRD peak list
Compound: CdSnBi
Radiation: Cu Ka
Structure: a GGA-PBE-relaxed structure
Intensities are scaled so that the largest is 100.

abc: 7.9615 4.5734 10.7396
angles: 90.00 105.03 90.00
Sites, in units of the cell vectors:
Cd: 0.0000 0.0000 0.0000
Cd: 0.1217 0.5000 0.8636
Cd: 0.5000 0.5000 0.0000
Cd: 0.6217 0.0000 0.8636
Sn: 0.0091 0.5000 0.5278
Sn: 0.1145 0.0000 0.3403
Sn: 0.5091 0.0000 0.5278
Sn: 0.6145 0.5000 0.3403
Bi: 0.2257 0.5000 0.1788
Bi: 0.2325 0.0000 0.6966
Bi: 0.7257 0.0000 0.1788
Bi: 0.7325 0.5000 0.6966

Most intense lines, 15 to 90 degrees two-theta, by angle:
| hkl | d [Å] | Rel. int. |
| --- | --- | --- |
| 2 0 0 | 3.847 | 88 |
| 1 1 1 | 3.524 | 47 |
| 1 1 -3 | 2.786 | 100 |
| 2 0 2 | 2.765 | 49 |
| 2 0 -4 | 2.467 | 31 |
| 1 1 3 | 2.441 | 60 |
| 3 1 -1 | 2.295 | 83 |
| 0 2 0 | 2.287 | 40 |

[3]
Simulated XRD peak list
Compound: Na2PaNiS4
Radiation: Cu Ka
Structure: a GGA-PBE-relaxed structure
Intensities are scaled so that the largest is 100.

abc: 6.9612 6.9612 6.3941
angles: 90.00 90.00 90.00
Sites, in units of the cell vectors:
Na: 0.0000 0.5000 0.0000
Na: 0.0000 0.5000 0.5000
Na: 0.5000 0.0000 0.0000
Na: 0.5000 0.0000 0.5000
Pa: 0.0000 0.0000 0.0000
Pa: 0.5000 0.5000 0.5000
Ni: 0.0000 0.0000 0.5000
Ni: 0.5000 0.5000 0.0000
S: 0.1868 0.1868 0.2887
S: 0.1868 0.8132 0.7113
S: 0.3132 0.3132 0.7887
S: 0.3132 0.6868 0.2113
S: 0.6868 0.3132 0.2113
S: 0.6868 0.6868 0.7887
S: 0.8132 0.1868 0.7113
S: 0.8132 0.8132 0.2887

Most intense lines, 15 to 90 degrees two-theta, by angle:
| hkl | d [Å] | Rel. int. |
| --- | --- | --- |
| 1 1 0 | 4.922 | 100 |
| 1 0 1 | 4.709 | 54 |
| 2 0 0 | 3.481 | 37 |
| 2 1 1 | 2.799 | 51 |
| 1 1 2 | 2.681 | 34 |
| 2 2 0 | 2.461 | 41 |
| 2 0 2 | 2.355 | 79 |
| 3 1 2 | 1.813 | 33 |

[4]
Simulated XRD peak list
Compound: LiMn2SnSe4
Radiation: Cu Ka
Structure: a GGA-PBE-relaxed structure
Intensities are scaled so that the largest is 100.

abc: 8.3944 7.4458 6.8741
angles: 90.00 90.00 90.00
Sites, in units of the cell vectors:
Li: 0.0000 0.1617 0.0000
Li: 0.5000 0.8383 0.5000
Mn: 0.2499 0.3409 0.4997
Mn: 0.2501 0.6591 0.9997
Mn: 0.7501 0.3409 0.4997
Mn: 0.7499 0.6591 0.9997
Sn: 0.0000 0.8361 0.4980
Sn: 0.5000 0.1639 0.9980
Se: 0.0000 0.1885 0.3758
Se: 0.0000 0.8240 0.8971
Se: 0.2393 0.3439 0.8677
Se: 0.2607 0.6561 0.3677
Se: 0.5000 0.1760 0.3971
Se: 0.5000 0.8115 0.8758
Se: 0.7393 0.6561 0.3677
Se: 0.7607 0.3439 0.8677

Most intense lines, 15 to 90 degrees two-theta, by angle:
| hkl | d [Å] | Rel. int. |
| --- | --- | --- |
| 0 2 0 | 3.723 | 49 |
| 2 1 0 | 3.656 | 100 |
| 0 0 2 | 3.437 | 89 |
| 2 1 1 | 3.228 | 67 |
| 2 3 0 | 2.136 | 85 |
| 4 0 0 | 2.099 | 41 |
| 2 1 3 | 1.942 | 79 |
| 2 3 2 | 1.815 | 55 |